Starting from a structure optimized by DFT (PBE+U), the X-ray diffraction stick pattern of Na2MnCdO4 was calculated for Cu Kα X-rays.

Crystal structure
Unit cell a=5.5171 b=5.5171 c=5.5171 alpha=120.31 beta=120.31 gamma=89.46
Fractional positions:
Na 0.0000 0.0000 0.0000
Na 0.7500 0.2500 0.5000
Mn 0.2500 0.7500 0.5000
Cd 0.5000 0.5000 0.0000
O 0.1529 0.6354 0.0785
O 0.3646 0.4431 0.5175
O 0.5569 0.0744 0.9215
O 0.9256 0.8471 0.4825

The 10 most intense peaks (5° ≤ 2θ ≤ 70°), by intensity:
d_spacing  I (rel.)
2.758  100
4.497  70
1.588  32
2.745  24
1.941  23
1.595  23
2.343  20
1.789  11
2.360  10
1.495  7